Record 1
LaTh4Sn4: simulated XRD peak list (copper Kα), based on DFT lattice parameters and positions (PBE).
Lines closer than 0.1° are merged.

Structural model:
Unit cell a=7.772 b=7.772 c=7.772 alpha=99.59 beta=99.59 gamma=131.82
Element x y z (fractional)
La (0.000, 0.000, 0.000)
Th (0.204, 0.603, 0.807)
Th (0.397, 0.204, 0.602)
Th (0.603, 0.796, 0.398)
Th (0.796, 0.397, 0.193)
Sn (0.097, 0.304, 0.401)
Sn (0.304, 0.903, 0.207)
Sn (0.696, 0.097, 0.793)
Sn (0.903, 0.696, 0.599)

Top 10 peaks for 10° ≤ 2θ ≤ 80°, in order of falling intensity:
- 28.1 deg, rel. 100
- 40.2 deg, rel. 79
- 65.8 deg, rel. 38
- 49.8 deg, rel. 28
- 73.0 deg, rel. 28
- 24.3 deg, rel. 24
- 58.1 deg, rel. 14
- 47.5 deg, rel. 12
- 12.5 deg, rel. 7
- 64.0 deg, rel. 5

=====

Record 2
Sm11In6Ge4: simulated XRD peak list (copper Kα), based on DFT lattice parameters and positions (PBE).
Lines closer than 0.1° are merged.

Structural model:
Unit cell a=11.755 b=11.755 c=11.755 alpha=119.78 beta=119.78 gamma=90.37
Element x y z (fractional)
Sm (0.064, 0.313, 0.750)
Sm (0.100, 0.445, 0.345)
Sm (0.100, 0.754, 0.655)
Sm (0.164, 0.164, 0.000)
Sm (0.246, 0.900, 0.345)
Sm (0.313, 0.064, 0.750)
Sm (0.313, 0.563, 0.250)
Sm (0.332, 0.332, 0.664)
Sm (0.332, 0.668, 0.000)
Sm (0.437, 0.687, 0.750)
Sm (0.445, 0.100, 0.345)
Sm (0.555, 0.900, 0.655)
Sm (0.563, 0.313, 0.250)
Sm (0.668, 0.332, 0.000)
Sm (0.668, 0.668, 0.336)
Sm (0.687, 0.437, 0.750)
Sm (0.687, 0.936, 0.250)
Sm (0.754, 0.100, 0.655)
Sm (0.836, 0.836, 0.000)
Sm (0.900, 0.246, 0.345)
Sm (0.900, 0.555, 0.655)
Sm (0.936, 0.687, 0.250)
In (0.036, 0.036, 0.413)
In (0.036, 0.622, 0.000)
In (0.128, 0.128, 0.256)
In (0.128, 0.872, 0.000)
In (0.378, 0.378, 0.413)
In (0.378, 0.964, 0.000)
In (0.622, 0.036, 0.000)
In (0.622, 0.622, 0.587)
In (0.872, 0.128, 0.000)
In (0.872, 0.872, 0.744)
In (0.964, 0.378, 0.000)
In (0.964, 0.964, 0.587)
Ge (0.154, 0.500, 0.654)
Ge (0.250, 0.750, 0.500)
Ge (0.380, 0.380, 0.000)
Ge (0.500, 0.154, 0.654)
Ge (0.500, 0.846, 0.346)
Ge (0.620, 0.620, 0.000)
Ge (0.750, 0.250, 0.500)
Ge (0.846, 0.500, 0.346)

Top 10 peaks for 10° ≤ 2θ ≤ 80°, in order of falling intensity:
- 32.2 deg, rel. 100
- 31.8 deg, rel. 74
- 31.9 deg, rel. 41
- 35.4 deg, rel. 30
- 63.9 deg, rel. 21
- 30.3 deg, rel. 15
- 46.2 deg, rel. 14
- 34.0 deg, rel. 14
- 41.6 deg, rel. 13
- 32.4 deg, rel. 12

=====

Record 3
Pm3Nd2Ge2: simulated XRD peak list (copper Kα), based on DFT lattice parameters and positions (PBE).
Lines closer than 0.1° are merged.

Structural model:
Unit cell a=6.382 b=6.382 c=8.595 alpha=109.57 beta=109.57 gamma=39.35
Element x y z (fractional)
Pm (0.000, 0.000, 0.000)
Pm (0.131, 0.131, 0.442)
Pm (0.869, 0.869, 0.558)
Nd (0.350, 0.350, 0.194)
Nd (0.650, 0.650, 0.806)
Ge (0.330, 0.330, 0.797)
Ge (0.670, 0.670, 0.203)

Top 10 peaks for 10° ≤ 2θ ≤ 80°, in order of falling intensity:
- 30.6 deg, rel. 100
- 33.5 deg, rel. 99
- 31.7 deg, rel. 65
- 29.4 deg, rel. 46
- 53.6 deg, rel. 41
- 31.5 deg, rel. 40
- 42.0 deg, rel. 38
- 26.0 deg, rel. 29
- 37.9 deg, rel. 23
- 53.5 deg, rel. 21

=====

Record 4
KHgC2IN2: simulated XRD peak list (copper Kα), based on DFT lattice parameters and positions (PBE).
Lines closer than 0.1° are merged.

Structural model:
Unit cell a=8.586 b=8.586 c=9.929 alpha=90.00 beta=90.00 gamma=149.94
Element x y z (fractional)
K (0.238, 0.762, 0.750)
K (0.762, 0.238, 0.250)
Hg (0.000, 0.000, 0.000)
Hg (0.000, 0.000, 0.500)
C (0.119, 0.881, 0.057)
C (0.119, 0.881, 0.443)
C (0.881, 0.119, 0.557)
C (0.881, 0.119, 0.943)
I (0.446, 0.554, 0.250)
I (0.554, 0.446, 0.750)
N (0.187, 0.813, 0.089)
N (0.187, 0.813, 0.411)
N (0.813, 0.187, 0.589)
N (0.813, 0.187, 0.911)

Top 10 peaks for 10° ≤ 2θ ≤ 80°, in order of falling intensity:
- 10.7 deg, rel. 100
- 27.4 deg, rel. 97
- 31.5 deg, rel. 40
- 21.4 deg, rel. 23
- 27.2 deg, rel. 20
- 33.7 deg, rel. 19
- 37.2 deg, rel. 18
- 20.9 deg, rel. 15
- 37.8 deg, rel. 14
- 36.2 deg, rel. 13

=====

Record 5
YTi2Si4: simulated XRD peak list (copper Kα), based on DFT lattice parameters and positions (PBE).
Lines closer than 0.1° are merged.

Structural model:
Unit cell a=8.599 b=8.599 c=8.599 alpha=154.65 beta=154.62 gamma=36.18
Element x y z (fractional)
Y (0.000, 0.000, 0.000)
Ti (0.184, 0.684, 0.500)
Ti (0.816, 0.316, 0.500)
Si (0.339, 0.839, 0.500)
Si (0.428, 0.428, 0.000)
Si (0.572, 0.572, 0.000)
Si (0.661, 0.161, 0.500)

Top 10 peaks for 10° ≤ 2θ ≤ 80°, in order of falling intensity:
- 35.4 deg, rel. 100
- 36.3 deg, rel. 41
- 48.2 deg, rel. 38
- 28.8 deg, rel. 28
- 45.7 deg, rel. 26
- 40.3 deg, rel. 21
- 32.9 deg, rel. 19
- 61.8 deg, rel. 16
- 68.6 deg, rel. 15
- 59.6 deg, rel. 12

=====

Record 6
LaDy5Ho3: simulated XRD peak list (copper Kα), based on DFT lattice parameters and positions (PBE).
Lines closer than 0.1° are merged.

Structural model:
Unit cell a=10.039 b=10.039 c=11.138 alpha=111.18 beta=111.18 gamma=35.05
Element x y z (fractional)
La (0.147, 0.853, 0.750)
La (0.853, 0.147, 0.250)
Dy (0.090, 0.579, 0.302)
Dy (0.101, 0.562, 0.971)
Dy (0.371, 0.629, 0.250)
Dy (0.421, 0.910, 0.198)
Dy (0.438, 0.899, 0.529)
Dy (0.562, 0.101, 0.471)
Dy (0.579, 0.090, 0.802)
Dy (0.629, 0.371, 0.750)
Dy (0.899, 0.438, 0.029)
Dy (0.910, 0.421, 0.698)
Ho (0.000, 0.000, 0.000)
Ho (0.000, 0.000, 0.500)
Ho (0.047, 0.600, 0.634)
Ho (0.400, 0.953, 0.866)
Ho (0.600, 0.047, 0.134)
Ho (0.953, 0.400, 0.366)

Top 10 peaks for 10° ≤ 2θ ≤ 80°, in order of falling intensity:
- 30.3 deg, rel. 100
- 32.2 deg, rel. 88
- 32.0 deg, rel. 81
- 31.3 deg, rel. 37
- 29.5 deg, rel. 36
- 28.6 deg, rel. 32
- 58.3 deg, rel. 26
- 42.8 deg, rel. 25
- 28.7 deg, rel. 25
- 49.1 deg, rel. 19

=====

Record 7
La2TmThBi5: simulated XRD peak list (copper Kα), based on DFT lattice parameters and positions (PBE).
Lines closer than 0.1° are merged.

Structural model:
Unit cell a=5.781 b=5.781 c=11.845 alpha=90.00 beta=90.00 gamma=90.00
Element x y z (fractional)
La (0.000, 0.000, 0.211)
La (0.000, 0.000, 0.789)
Tm (0.500, 0.500, 0.500)
Th (0.500, 0.500, 0.000)
Bi (0.000, 0.000, 0.500)
Bi (0.000, 0.500, 0.000)
Bi (0.500, 0.000, 0.000)
Bi (0.500, 0.500, 0.258)
Bi (0.500, 0.500, 0.742)

Top 10 peaks for 10° ≤ 2θ ≤ 80°, in order of falling intensity:
- 30.9 deg, rel. 100
- 43.8 deg, rel. 67
- 21.7 deg, rel. 63
- 30.2 deg, rel. 45
- 23.0 deg, rel. 39
- 44.3 deg, rel. 38
- 54.6 deg, rel. 36
- 31.5 deg, rel. 31
- 27.4 deg, rel. 25
- 37.5 deg, rel. 23

=====

Record 8
Pm2I2Br3: simulated XRD peak list (copper Kα), based on DFT lattice parameters and positions (PBE).
Lines closer than 0.1° are merged.

Structural model:
Unit cell a=4.555 b=4.521 c=14.984 alpha=90.00 beta=98.57 gamma=90.00
Element x y z (fractional)
Pm (0.095, 0.000, 0.199)
Pm (0.905, 0.000, 0.801)
I (0.414, 0.500, 0.820)
I (0.586, 0.500, 0.180)
Br (0.000, 0.000, 0.000)
Br (0.187, 0.000, 0.377)
Br (0.813, 0.000, 0.623)

Top 10 peaks for 10° ≤ 2θ ≤ 80°, in order of falling intensity:
- 28.0 deg, rel. 100
- 11.9 deg, rel. 49
- 30.2 deg, rel. 29
- 19.7 deg, rel. 24
- 43.8 deg, rel. 23
- 43.9 deg, rel. 21
- 31.7 deg, rel. 18
- 39.6 deg, rel. 17
- 18.0 deg, rel. 17
- 39.9 deg, rel. 17

=====

Record 9
Ti3AlSb: simulated XRD peak list (copper Kα), based on DFT lattice parameters and positions (PBE).
Lines closer than 0.1° are merged.

Structural model:
Unit cell a=7.437 b=7.437 c=5.141 alpha=98.07 beta=98.07 gamma=41.77
Element x y z (fractional)
Ti (0.000, 0.000, 0.000)
Ti (0.000, 0.000, 0.500)
Ti (0.096, 0.595, 0.655)
Ti (0.405, 0.904, 0.345)
Ti (0.595, 0.096, 0.655)
Ti (0.904, 0.405, 0.345)
Al (0.463, 0.463, 0.235)
Al (0.537, 0.537, 0.765)
Sb (0.188, 0.188, 0.854)
Sb (0.812, 0.812, 0.146)

Top 10 peaks for 10° ≤ 2θ ≤ 80°, in order of falling intensity:
- 39.6 deg, rel. 100
- 25.8 deg, rel. 80
- 17.9 deg, rel. 46
- 40.8 deg, rel. 45
- 36.8 deg, rel. 37
- 32.9 deg, rel. 36
- 39.4 deg, rel. 33
- 40.9 deg, rel. 32
- 41.6 deg, rel. 25
- 38.3 deg, rel. 25

=====

Record 10
LiCeS3: simulated XRD peak list (copper Kα), based on DFT lattice parameters and positions (PBE).
Lines closer than 0.1° are merged.

Structural model:
Unit cell a=6.955 b=8.319 c=7.561 alpha=90.00 beta=91.57 gamma=90.00
Element x y z (fractional)
Li (0.184, 0.198, 0.060)
Li (0.184, 0.302, 0.560)
Li (0.816, 0.698, 0.440)
Li (0.816, 0.802, 0.940)
Ce (0.310, 0.643, 0.854)
Ce (0.310, 0.857, 0.354)
Ce (0.690, 0.143, 0.646)
Ce (0.690, 0.357, 0.146)
S (0.063, 0.009, 0.627)
S (0.063, 0.491, 0.127)
S (0.187, 0.599, 0.517)
S (0.187, 0.901, 0.017)
S (0.430, 0.174, 0.349)
S (0.430, 0.326, 0.849)
S (0.570, 0.674, 0.151)
S (0.570, 0.826, 0.651)
S (0.813, 0.099, 0.983)
S (0.813, 0.401, 0.483)
S (0.937, 0.509, 0.873)
S (0.937, 0.991, 0.373)

Top 10 peaks for 10° ≤ 2θ ≤ 80°, in order of falling intensity:
- 16.6 deg, rel. 100
- 36.7 deg, rel. 47
- 37.3 deg, rel. 44
- 20.2 deg, rel. 40
- 35.5 deg, rel. 37
- 27.2 deg, rel. 35
- 15.8 deg, rel. 35
- 24.4 deg, rel. 31
- 43.7 deg, rel. 28
- 46.7 deg, rel. 24

=====

Record 11
HoThAsSe: simulated XRD peak list (copper Kα), based on DFT lattice parameters and positions (PBE).
Lines closer than 0.1° are merged.

Structural model:
Unit cell a=7.250 b=7.250 c=7.250 alpha=33.21 beta=33.21 gamma=33.21
Element x y z (fractional)
Ho (0.000, 0.000, 0.000)
Th (0.493, 0.493, 0.493)
As (0.742, 0.742, 0.742)
Se (0.251, 0.251, 0.251)

Top 10 peaks for 10° ≤ 2θ ≤ 80°, in order of falling intensity:
- 30.4 deg, rel. 100
- 43.7 deg, rel. 38
- 43.3 deg, rel. 37
- 26.3 deg, rel. 25
- 54.2 deg, rel. 20
- 72.0 deg, rel. 17
- 71.5 deg, rel. 16
- 63.2 deg, rel. 12
- 26.0 deg, rel. 9
- 51.6 deg, rel. 9

=====

Record 12
Pm8Dy3Y2: simulated XRD peak list (copper Kα), based on DFT lattice parameters and positions (PBE).
Lines closer than 0.1° are merged.

Structural model:
Unit cell a=6.167 b=6.793 c=12.029 alpha=87.47 beta=76.34 gamma=63.70
Element x y z (fractional)
Pm (0.123, 0.091, 0.324)
Pm (0.246, 0.374, 0.738)
Pm (0.273, 0.688, 0.113)
Pm (0.348, 0.831, 0.803)
Pm (0.652, 0.169, 0.197)
Pm (0.727, 0.312, 0.887)
Pm (0.754, 0.626, 0.262)
Pm (0.877, 0.909, 0.676)
Dy (0.193, 0.227, 0.034)
Dy (0.500, 0.000, 0.500)
Dy (0.807, 0.773, 0.966)
Y (0.230, 0.573, 0.429)
Y (0.770, 0.427, 0.571)

Top 10 peaks for 10° ≤ 2θ ≤ 80°, in order of falling intensity:
- 30.9 deg, rel. 100
- 31.8 deg, rel. 81
- 32.2 deg, rel. 78
- 31.5 deg, rel. 75
- 31.7 deg, rel. 72
- 29.0 deg, rel. 55
- 55.3 deg, rel. 33
- 43.3 deg, rel. 26
- 32.4 deg, rel. 26
- 48.2 deg, rel. 26